1.
# EuGePd2
Computed X-ray diffraction stick pattern, a wavelength of 1.5418 Å. Input: a crystal structure in the Materials Project, relaxed with PBE.
Kinematic intensities with the Lorentz-polarization factor, no thermal factor.

Structural model:
Cell: 7.640 7.166 5.866 Å, 90.00 90.00 90.00°
Space group Pnma (No. 62)
Symmetry-distinct sites (fractional):
Eu1 0.022 0.250 0.142 [4 per cell]
Ge1 0.123 0.750 0.361 [4 per cell]
Pd1 0.177 0.054 0.590 [8 per cell]

The 6 most intense peaks (5 to 70 degrees two-theta), sorted by position:
two_theta, I (rel.)
30.59, 51
34.31, 63
35.08, 100
37.68, 40
38.54, 65
42.54, 38

2.
# EuGe3Pd
Computed X-ray diffraction stick pattern, a wavelength of 1.5418 Å. Input: a crystal structure in the Materials Project, relaxed with PBE.
Kinematic intensities with the Lorentz-polarization factor, no thermal factor.

Structural model:
Cell: 4.468 4.468 10.369 Å, 90.00 90.00 90.00°
Space group I4mm (No. 107)
Symmetry-distinct sites (fractional):
Eu1 0.000 0.000 0.000 [2 per cell]
Ge1 0.000 0.000 0.410 [2 per cell]
Ge2 0.000 0.500 0.259 [4 per cell]
Pd1 0.000 0.000 0.648 [2 per cell]

The 6 most intense peaks (5 to 70 degrees two-theta), sorted by position:
two_theta, I (rel.)
28.25, 28
32.76, 78
33.21, 100
40.38, 73
48.39, 26
52.93, 40

3.
# EuGe7Rh3
Computed X-ray diffraction stick pattern, a wavelength of 1.5418 Å. Input: a crystal structure in the Materials Project, relaxed with PBE.
Kinematic intensities with the Lorentz-polarization factor, no thermal factor.

Structural model:
Cell: 7.9921 7.9921 20.9495 Å, 90.00 90.00 120.00°
Space group R-3c (No. 167, hexagonal axes)
Symmetry-distinct sites (fractional):
Eu1 0.0000 0.0000 0.0000 [6 per cell]
Ge1 0.0000 0.0000 0.2500 [6 per cell]
Ge2 0.0135 0.2105 0.1359 [36 per cell]
Rh1 0.0000 0.3165 0.2500 [18 per cell]

The 6 most intense peaks (5 to 70 degrees two-theta), sorted by position:
two_theta, I (rel.)
34.55, 71
36.69, 69
38.47, 100
39.04, 57
45.07, 82
47.32, 58

4.
# EuGe2Ru2
Computed X-ray diffraction stick pattern, a wavelength of 1.5418 Å. Input: a crystal structure in the Materials Project, relaxed with PBE.
Kinematic intensities with the Lorentz-polarization factor, no thermal factor.

Structural model:
Cell: 4.302 4.302 10.227 Å, 90.00 90.00 90.00°
Space group I4/mmm (No. 139)
Symmetry-distinct sites (fractional):
Eu1 0.000 0.000 0.000 [2 per cell]
Ge1 0.000 0.000 0.365 [4 per cell]
Ru1 0.000 0.500 0.250 [4 per cell]

The 6 most intense peaks (5 to 70 degrees two-theta), sorted by position:
two_theta, I (rel.)
33.54, 70
34.30, 100
42.00, 63
54.79, 34
60.91, 21
62.46, 25

5.
# EuGeS3
Computed X-ray diffraction stick pattern, a wavelength of 1.5418 Å. Input: a crystal structure in the Materials Project, relaxed with PBE.
Kinematic intensities with the Lorentz-polarization factor, no thermal factor.

Structural model:
Cell: 8.472 8.544 11.845 Å, 68.97 80.57 75.17°
Space group P-1 (No. 2)
Symmetry-distinct sites (fractional):
Eu1 0.074 0.445 0.315 [2 per cell]
Eu2 0.254 0.239 0.000 [2 per cell]
Eu3 0.392 0.758 0.363 [2 per cell]
Ge1 0.053 0.019 0.687 [2 per cell]
Ge2 0.269 0.775 0.971 [2 per cell]
Ge3 0.405 0.659 0.696 [2 per cell]
S1 0.049 0.713 0.423 [2 per cell]
S2 0.108 0.591 0.042 [2 per cell]
S3 0.140 0.039 0.854 [2 per cell]
S4 0.150 0.121 0.266 [2 per cell]
S5 0.274 0.449 0.736 [2 per cell]
S6 0.282 0.922 0.578 [2 per cell]
S7 0.381 0.389 0.431 [2 per cell]
S8 0.383 0.845 0.096 [2 per cell]
S9 0.495 0.679 0.859 [2 per cell]

The 6 most intense peaks (5 to 70 degrees two-theta), sorted by position:
two_theta, I (rel.)
22.32, 48
23.14, 100
24.23, 95
26.70, 43
27.38, 52
34.66, 51

6.
# Eu2Ge2Se5
Computed X-ray diffraction stick pattern, a wavelength of 1.5418 Å. Input: a crystal structure in the Materials Project, relaxed with PBE.
Kinematic intensities with the Lorentz-polarization factor, no thermal factor.

Structural model:
Cell: 8.515 12.335 12.048 Å, 90.00 130.36 90.00°
Space group P2_1/c (No. 14)
Symmetry-distinct sites (fractional):
Eu1 0.014 0.162 0.471 [4 per cell]
Eu2 0.464 0.696 0.521 [4 per cell]
Ge1 0.156 0.050 0.165 [4 per cell]
Ge2 0.486 0.020 0.686 [4 per cell]
Se1 0.060 0.210 0.223 [4 per cell]
Se2 0.102 0.094 0.941 [4 per cell]
Se3 0.245 0.561 0.953 [4 per cell]
Se4 0.316 0.507 0.285 [4 per cell]
Se5 0.483 0.716 0.793 [4 per cell]

The 6 most intense peaks (5 to 70 degrees two-theta), sorted by position:
two_theta, I (rel.)
27.49, 51
30.51, 69
30.64, 100
30.85, 49
31.15, 76
31.56, 59

7.
# EuZnGe
Computed X-ray diffraction stick pattern, a wavelength of 1.5418 Å. Input: a crystal structure in the Materials Project, relaxed with PBE.
Kinematic intensities with the Lorentz-polarization factor, no thermal factor.

Structural model:
Cell: 4.312 4.344 7.506 Å, 90.00 90.00 90.00°
Space group Pmmm (No. 47)
Symmetry-distinct sites (fractional):
Eu1 0.000 0.000 0.000 [1 per cell]
Eu2 0.500 0.000 0.500 [1 per cell]
Zn1 0.000 0.500 0.334 [2 per cell]
Ge1 0.500 0.500 0.168 [2 per cell]

The 6 most intense peaks (5 to 70 degrees two-theta), sorted by position:
two_theta, I (rel.)
31.55, 100
41.58, 14
41.74, 27
41.90, 13
53.35, 15
60.38, 18

8.
# EuZnGe
Computed X-ray diffraction stick pattern, a wavelength of 1.5418 Å. Input: a crystal structure in the Materials Project, relaxed with PBE.
Kinematic intensities with the Lorentz-polarization factor, no thermal factor.

Structural model:
Cell: 4.380 8.703 7.519 Å, 90.00 90.00 90.00°
Space group Imma (No. 74)
Symmetry-distinct sites (fractional):
Eu1 0.000 0.000 0.000 [4 per cell]
Zn1 0.000 0.250 0.333 [4 per cell]
Ge1 0.000 0.250 0.667 [4 per cell]

The 6 most intense peaks (5 to 70 degrees two-theta), sorted by position:
two_theta, I (rel.)
31.33, 100
31.45, 50
41.23, 21
41.51, 61
52.75, 23
60.15, 27